The following is a simulated powder XRD pattern of Mg2CuPb. It was derived from a PBE-relaxed structure, using Cu Kα.

Most intense lines, 2θ = 5–70°, in order of falling intensity:
two_theta	Rel. int.	(hkl)
34.46	100	1 1 2
22.47	96	2 0 0
47.73	85	3 1 2
31.99	77	2 2 0
29.46	43	2 1 1
18.80	40	1 0 1
68.36	31	5 1 2
45.87	27	4 0 0

Cell: 7.913 7.913 5.880 Å, 90.00 90.00 90.00°
Space group I-42d (No. 122)
Symmetry-distinct sites (fractional):
Mg 0.195 0.250 0.125
Cu 0.000 0.000 0.000
Pb 0.000 0.000 0.500